Starting from a DFT-relaxed cell (GGA-PBE, Alexandria), the X-ray powder pattern of Tb5Nd5Ho2 was computed for Cu Ka.

Largest 8 diffraction maxima, low angle first, 10 to 80 degrees two-theta:
2theta  I (rel.)
30.37  100.0
35.21  50.7
50.65  36.2
60.18  28.7
60.27  14.3
63.18  12.4
74.39  3.8
74.55  1.9

Structure:
Cell: 8.0618 8.0618 11.4080 Å, 115.09 115.09 36.82°
Atoms (fractional coordinates):
Tb (0.0000, 0.0000, 0.0000)
Tb (0.0818, 0.0818, 0.7490)
Tb (0.1673, 0.1673, 0.5004)
Tb (0.8327, 0.8327, 0.4996)
Tb (0.9182, 0.9182, 0.2510)
Nd (0.2492, 0.2492, 0.2510)
Nd (0.3353, 0.3353, 0.0010)
Nd (0.5000, 0.5000, 0.5000)
Nd (0.6647, 0.6647, 0.9990)
Nd (0.7508, 0.7508, 0.7490)
Ho (0.4166, 0.4166, 0.7480)
Ho (0.5834, 0.5834, 0.2520)



Starting from a DFT-relaxed cell (GGA-PBE, Alexandria), the X-ray powder pattern of Cs7K4 was computed for Cu Ka.

Largest 8 diffraction maxima, low angle first, 10 to 80 degrees two-theta:
2theta  I (rel.)
19.33  100.0
20.37  22.5
23.49  46.8
26.78  21.4
31.25  15.1
33.21  19.9
35.91  35.6
38.87  16.4

Structure:
Cell: 13.3173 13.3173 7.5894 Å, 90.00 90.00 120.00°
Atoms (fractional coordinates):
Cs (0.0000, 0.0000, 0.0000)
Cs (0.0639, 0.5320, 0.0000)
Cs (0.3821, 0.1910, 0.5000)
Cs (0.4680, 0.5320, 0.0000)
Cs (0.4680, 0.9361, 0.0000)
Cs (0.8090, 0.1910, 0.5000)
Cs (0.8090, 0.6179, 0.5000)
K (0.2163, 0.4325, 0.5000)
K (0.2163, 0.7837, 0.5000)
K (0.5675, 0.7837, 0.5000)
K (0.6667, 0.3333, 0.0000)



Starting from a DFT-relaxed cell (GGA-PBE, Alexandria), the X-ray powder pattern of LiHfAs2O8 was computed for Cu Ka.

Largest 8 diffraction maxima, low angle first, 10 to 80 degrees two-theta:
2theta  I (rel.)
18.43  55.8
19.39  50.9
26.18  100.0
32.79  25.9
34.48  72.8
39.37  19.3
51.75  61.7
65.55  18.4

Structure:
Cell: 5.7205 5.7205 5.7205 Å, 106.99 106.99 114.56°
Atoms (fractional coordinates):
Li (0.0000, 0.0000, 0.0000)
Hf (0.7500, 0.2500, 0.5000)
As (0.2500, 0.7500, 0.5000)
As (0.5000, 0.5000, 0.0000)
O (0.0611, 0.3742, 0.3131)
O (0.0611, 0.7480, 0.6869)
O (0.1325, 0.3305, 0.8020)
O (0.2520, 0.9389, 0.3131)
O (0.5284, 0.3305, 0.1980)
O (0.6258, 0.9389, 0.6869)
O (0.6695, 0.4716, 0.8020)
O (0.6695, 0.8675, 0.1980)